Simulated powder XRD pattern of TbDy2Co2B2O3 for Cu Kα (weighted mean of Kα1 and Kα2), from a DFT-relaxed cell (GGA+U, OQMD).
Intensities are scaled so that the largest is 100.

Structural model:
```
TbDy2Co2B2O3
1.0
-1.7036 1.7036 10.7357
1.7036 -1.7036 10.7357
1.7036 1.7036 -10.7357
Tb Dy Co B O
1 2 2 2 3
Cartesian
0.0000 0.0000 0.0000
0.0000 0.0000 7.7722
0.0000 0.0000 13.6991
1.7036 0.0000 5.3678
0.0000 1.7036 5.3678
0.0000 0.0000 4.5067
0.0000 0.0000 16.9647
0.0000 0.0000 2.2247
0.0000 0.0000 10.7357
0.0000 0.0000 19.2467
```

Top 10 peaks for 2θ from 10° to 80°, sorted by position:
29.0°, rel. 100
33.4°, rel. 36
33.6°, rel. 26
37.3°, rel. 30
41.1°, rel. 19
45.4°, rel. 35
53.8°, rel. 25
54.2°, rel. 26
62.3°, rel. 25
64.8°, rel. 22



Simulated powder XRD pattern of Dy2TmCo2B2O3 for Cu Kα (weighted mean of Kα1 and Kα2), from a DFT-relaxed cell (GGA+U, OQMD).
Intensities are scaled so that the largest is 100.

Structural model:
```
Dy2TmCo2B2O3
1.0
-1.6977 1.6977 10.5736
1.6977 -1.6977 10.5736
1.6977 1.6977 -10.5736
Dy Tm Co B O
2 1 2 2 3
Cartesian
0.0000 0.0000 2.8855
0.0000 0.0000 18.2616
0.0000 0.0000 10.5736
1.6977 0.0000 5.2868
0.0000 1.6977 5.2868
0.0000 0.0000 6.1517
0.0000 0.0000 14.9954
0.0000 0.0000 0.0000
0.0000 0.0000 8.4262
0.0000 0.0000 12.7209
```

Top 10 peaks for 2θ from 10° to 80°, sorted by position:
29.2°, rel. 100
33.9°, rel. 67
37.5°, rel. 30
38.4°, rel. 20
41.3°, rel. 18
45.7°, rel. 32
54.0°, rel. 25
54.9°, rel. 27
62.6°, rel. 25
65.3°, rel. 31